No. 1
The following is a theoretical powder diffraction line list of Er3Nb. It was derived from a structure optimized by DFT (PBE), using Cu Kα (λ = 1.5418 Å).
Lines closer than 0.1° are merged.

Peak list (10 most intense, 10° ≤ 2θ ≤ 80°, sorted by position)
2θ (°), I_rel
30.38, 17
30.58, 20
33.51, 33
34.80, 41
34.97, 100
45.99, 12
54.10, 17
60.86, 17
65.15, 18
66.28, 13

Cell and atoms:
Lattice parameters (Å, degrees): 3.369 10.697 5.885 90.00 90.00 90.00
Fractional positions:
Er  0.000  0.000  0.000
Er  0.000  0.235  0.638
Er  0.000  0.765  0.638
Er  0.500  0.265  0.138
Er  0.500  0.500  0.500
Er  0.500  0.735  0.138
Nb  0.000  0.500  0.969
Nb  0.500  0.000  0.469

No. 2
The following is a theoretical powder diffraction line list of ErNb2. It was derived from a structure optimized by DFT (PBE), using Cu Kα (λ = 1.5418 Å).
Lines closer than 0.1° are merged.

Peak list (10 most intense, 10° ≤ 2θ ≤ 80°, sorted by position)
2θ (°), I_rel
26.77, 19
33.24, 11
35.81, 100
36.29, 56
50.02, 14
52.26, 19
64.02, 11
64.97, 35
66.29, 12
75.88, 7

Cell and atoms:
Lattice parameters (Å, degrees): 3.501 3.501 10.783 90.00 90.00 90.00
Fractional positions:
Er  0.000  0.000  0.000
Er  0.500  0.500  0.500
Nb  0.000  0.000  0.306
Nb  0.000  0.000  0.694
Nb  0.500  0.500  0.194
Nb  0.500  0.500  0.806